For CoSbP2O8, a structure optimized by DFT (PBE+U) gives the theoretical PXRD pattern in this record (Cu Kα (weighted mean of Kα1 and Kα2)).
Neutral-atom scattering factors, no anomalous dispersion.

Crystal structure
```
data_CoSbP2O8
_cell_length_a 4.9399
_cell_length_b 11.8986
_cell_length_c 11.9599
_cell_angle_alpha 65.55
_cell_angle_beta 85.33
_cell_angle_gamma 85.11
_symmetry_space_group_name_H-M 'P 1'
_symmetry_Int_Tables_number 1
loop_
_symmetry_equiv_pos_as_xyz
'x,y,z'
loop_
_atom_site_label
_atom_site_type_symbol
_atom_site_fract_x
_atom_site_fract_y
_atom_site_fract_z
Co1 Co 0.0000 0.0000 0.0000
Co2 Co 0.0249 0.5464 0.4483
Co3 Co 0.8171 0.4892 0.9478
Co4 Co 0.8474 0.0302 0.4038
Sb1 Sb 0.3351 0.2952 0.2213
Sb2 Sb 0.3851 0.7838 0.7239
Sb3 Sb 0.4590 0.2413 0.6837
Sb4 Sb 0.5153 0.7342 0.1816
P1 P 0.0039 0.3367 0.7722
P2 P 0.0458 0.8372 0.2827
P3 P 0.2691 0.6122 0.0169
P4 P 0.3003 0.0739 0.5446
P5 P 0.5464 0.9511 0.8619
P6 P 0.5723 0.4143 0.3917
P7 P 0.8053 0.1929 0.1211
P8 P 0.8421 0.6851 0.6371
O1 O 0.0145 0.4156 0.8420
O2 O 0.0677 0.9075 0.3618
O3 O 0.1049 0.2032 0.1391
O4 O 0.1301 0.4894 0.0502
O5 O 0.1427 0.7054 0.6506
O6 O 0.1484 0.1229 0.4249
O7 O 0.1696 0.6784 0.1003
O8 O 0.1723 0.6982 0.8790
O9 O 0.1751 0.3893 0.6430
O10 O 0.1802 0.2091 0.8297
O11 O 0.1800 0.9433 0.6310
O12 O 0.2122 0.7065 0.3361
O13 O 0.2128 0.8947 0.1537
O14 O 0.2219 0.1623 0.6120
O15 O 0.2409 0.9602 0.8813
O16 O 0.2622 0.4341 0.3933
O17 O 0.5785 0.5917 0.0172
O18 O 0.6059 0.0630 0.5258
O19 O 0.6256 0.8617 0.7954
O20 O 0.6385 0.1354 0.2503
O21 O 0.6403 0.3243 0.0689
O22 O 0.6627 0.8116 0.5797
O23 O 0.6655 0.0814 0.7749
O24 O 0.6712 0.3274 0.5282
O25 O 0.6716 0.3495 0.3070
O26 O 0.6723 0.6327 0.7676
O27 O 0.6997 0.9037 0.9814
O28 O 0.7022 0.3181 0.7581
O29 O 0.7081 0.5383 0.3568
O30 O 0.7473 0.8244 0.2648
O31 O 0.7790 0.1222 0.0426
O32 O 0.8333 0.6059 0.5673
```

Peak list (8 most intense, 10 to 90 degrees two-theta, sorted by position)
- hkl 0 0 2, 5.423 Å, 16.35 deg, I 41.3
- hkl 0 2 2, 4.990 Å, 17.77 deg, I 88.1
- hkl -1 1 1, 4.246 Å, 20.92 deg, I 36.3
- hkl 1 2 0, 3.744 Å, 23.77 deg, I 66.4
- hkl 1 2 2, 3.690 Å, 24.12 deg, I 39.4
- hkl 1 0 -2, 3.557 Å, 25.03 deg, I 31.6
- hkl 0 2 -2, 3.229 Å, 27.62 deg, I 100.0
- hkl 1 4 2, 2.639 Å, 33.97 deg, I 69.1

For La3BWO9, a structure optimized by DFT (PBE+U) gives the theoretical PXRD pattern in this record (Cu Kα (weighted mean of Kα1 and Kα2)).
Neutral-atom scattering factors, no anomalous dispersion.

Crystal structure
```
data_La3BWO9
_cell_length_a 8.9258
_cell_length_b 8.9258
_cell_length_c 5.6809
_cell_angle_alpha 90.00
_cell_angle_beta 90.00
_cell_angle_gamma 120.00
_symmetry_space_group_name_H-M 'P 63'
_symmetry_Int_Tables_number 173
loop_
_symmetry_equiv_pos_as_xyz
'x,y,z'
'x-y,x,z+1/2'
'-y,x-y,z'
'-x,-y,z+1/2'
'-x+y,-x,z'
'y,-x+y,z+1/2'
loop_
_atom_site_label
_atom_site_type_symbol
_atom_site_fract_x
_atom_site_fract_y
_atom_site_fract_z
La1 La 0.0824 0.7232 0.0000
B1 B 0.0000 0.0000 0.1660
W1 W 0.3333 0.6667 0.5372
O1 O 0.0487 0.8749 0.6591
O2 O 0.1391 0.5226 0.7561
O3 O 0.2003 0.4714 0.3322
```

Peak list (8 most intense, 10 to 90 degrees two-theta, sorted by position)
- hkl 1 1 1, 3.509 Å, 25.38 deg, I 83.0
- hkl 2 0 1, 3.196 Å, 27.92 deg, I 100.0
- hkl 0 0 2, 2.840 Å, 31.50 deg, I 22.9
- hkl 2 1 1, 2.598 Å, 34.52 deg, I 27.9
- hkl 3 0 0, 2.577 Å, 34.82 deg, I 23.6
- hkl 1 2 2, 2.037 Å, 44.49 deg, I 25.3
- hkl 3 0 2, 1.908 Å, 47.65 deg, I 29.6
- hkl 3 2 1, 1.693 Å, 54.18 deg, I 34.1

For LiFe4B4O12, a structure optimized by DFT (PBE+U) gives the theoretical PXRD pattern in this record (Cu Kα (weighted mean of Kα1 and Kα2)).
Neutral-atom scattering factors, no anomalous dispersion.

Crystal structure
```
data_LiFe4B4O12
_cell_length_a 5.2389
_cell_length_b 5.2669
_cell_length_c 20.1101
_cell_angle_alpha 90.48
_cell_angle_beta 90.07
_cell_angle_gamma 118.94
_symmetry_space_group_name_H-M 'P 1'
_symmetry_Int_Tables_number 1
loop_
_symmetry_equiv_pos_as_xyz
'x,y,z'
loop_
_atom_site_label
_atom_site_type_symbol
_atom_site_fract_x
_atom_site_fract_y
_atom_site_fract_z
Li1 Li 0.0000 0.0000 0.0000
Li2 Li 0.3201 0.2969 0.3786
Fe1 Fe 0.3336 0.6733 0.4884
Fe2 Fe 0.3386 0.6514 0.9884
Fe3 Fe 0.6496 0.9863 0.8650
Fe4 Fe 0.6541 0.3269 0.2398
Fe5 Fe 0.6607 0.3299 0.7392
Fe6 Fe 0.6612 0.9687 0.3618
Fe7 Fe 0.9800 0.6484 0.1142
Fe8 Fe 0.9835 0.6515 0.6150
B1 B 0.3139 0.6580 0.2381
B2 B 0.3215 0.6614 0.7386
B3 B 0.6529 0.9923 0.1131
B4 B 0.6558 0.9941 0.6141
B5 B 0.6569 0.3194 0.9898
B6 B 0.6658 0.3239 0.4874
B7 B 0.9916 0.6492 0.3639
B8 B 0.9949 0.6541 0.8641
O1 O 0.0052 0.9126 0.3650
O2 O 0.0499 0.6395 0.2163
O3 O 0.0614 0.6456 0.7146
O4 O 0.2304 0.6203 0.3872
O5 O 0.2597 0.6788 0.8844
O6 O 0.3496 0.4184 0.2406
O7 O 0.3635 0.4277 0.7366
O8 O 0.3819 0.7706 0.0933
O9 O 0.3885 0.7780 0.5879
O10 O 0.3929 0.3071 0.9897
O11 O 0.4415 0.3810 0.4765
O12 O 0.5352 0.9262 0.2598
O13 O 0.5358 0.9283 0.7643
O14 O 0.6389 0.0594 0.4672
O15 O 0.6676 0.2513 0.6376
O16 O 0.6750 0.2528 0.1369
O17 O 0.6877 0.0812 0.9670
O18 O 0.7415 0.3974 0.3408
O19 O 0.7831 0.3876 0.8372
O20 O 0.8901 0.9513 0.6160
O21 O 0.8955 0.9594 0.1051
O22 O 0.9113 0.5672 0.0126
O23 O 0.9281 0.5327 0.5159
O24 O 0.9407 0.8797 0.8715
```

Peak list (8 most intense, 10 to 90 degrees two-theta, sorted by position)
- hkl 1 -1 0, 4.525 Å, 19.62 deg, I 88.9
- hkl 1 0 2, 4.168 Å, 21.32 deg, I 100.0
- hkl 1 -1 2, 4.126 Å, 21.54 deg, I 60.3
- hkl 0 1 -4, 3.415 Å, 26.10 deg, I 37.0
- hkl 1 0 -4, 3.398 Å, 26.23 deg, I 40.6
- hkl 0 1 4, 3.379 Å, 26.38 deg, I 58.9
- hkl 1 -2 0, 2.633 Å, 34.05 deg, I 34.0
- hkl 0 0 8, 2.514 Å, 35.72 deg, I 91.3

For K4MgW3O12, a structure optimized by DFT (PBE+U) gives the theoretical PXRD pattern in this record (Cu Kα (weighted mean of Kα1 and Kα2)).
Neutral-atom scattering factors, no anomalous dispersion.

Crystal structure
```
data_K4MgW3O12
_cell_length_a 7.9434
_cell_length_b 10.1426
_cell_length_c 10.2609
_cell_angle_alpha 93.13
_cell_angle_beta 106.59
_cell_angle_gamma 106.07
_symmetry_space_group_name_H-M 'P -1'
_symmetry_Int_Tables_number 2
loop_
_symmetry_equiv_pos_as_xyz
'x,y,z'
'-x,-y,-z'
loop_
_atom_site_label
_atom_site_type_symbol
_atom_site_fract_x
_atom_site_fract_y
_atom_site_fract_z
K1 K 0.0000 0.0000 0.0000
K2 K 0.1478 0.5671 0.8866
K3 K 0.2441 0.5221 0.4742
K4 K 0.2794 0.2392 0.7755
K5 K 0.5000 0.0000 0.0000
Mg1 Mg 0.3382 0.1219 0.4483
W1 W 0.1184 0.8514 0.6110
W2 W 0.2641 0.8126 0.2575
W3 W 0.3784 0.3561 0.1869
O1 O 0.0538 0.6929 0.2679
O2 O 0.1099 0.6740 0.6308
O3 O 0.1135 0.1498 0.4908
O4 O 0.1801 0.9490 0.7792
O5 O 0.1951 0.4335 0.1354
O6 O 0.2566 0.9919 0.2709
O7 O 0.2771 0.7819 0.0866
O8 O 0.2968 0.9265 0.5319
O9 O 0.3420 0.2152 0.0543
O10 O 0.3870 0.2982 0.3555
O11 O 0.4052 0.5114 0.7900
O12 O 0.4674 0.7798 0.3740
```

Peak list (8 most intense, 10 to 90 degrees two-theta, sorted by position)
- hkl 1 0 1, 5.097 Å, 17.40 deg, I 83.1
- hkl 1 -2 1, 4.159 Å, 21.37 deg, I 52.5
- hkl 2 -1 0, 3.802 Å, 23.40 deg, I 53.0
- hkl -2 1 2, 3.483 Å, 25.58 deg, I 48.3
- hkl 1 2 -2, 3.301 Å, 27.01 deg, I 34.4
- hkl 0 1 -3, 3.218 Å, 27.72 deg, I 58.4
- hkl 0 2 2, 3.197 Å, 27.91 deg, I 100.0
- hkl 2 0 1, 3.093 Å, 28.87 deg, I 49.2